[1]
# LiV2OF5
Calculated powder diffractogram, λ = 1.5418 Å (Cu Kα). Input: a DFT-relaxed cell (PBE+U, Alexandria).

Crystal structure
```
data_LiV2OF5
_space_group_name_H-M_alt 'C 1 2 1'
_space_group_IT_number 5
_space_group_name_Hall 'C 2y'
_cell_length_a 22.5418
_cell_length_b 5.2431
_cell_length_c 5.6105
_cell_angle_alpha 90.00
_cell_angle_beta 99.66
_cell_angle_gamma 90.00
loop_
_atom_site_label
_atom_site_fract_x
_atom_site_fract_y
_atom_site_fract_z
Li1 0.0000 0.0000 0.0000
Li2 0.1602 0.0432 0.0922
V1 0.0815 0.5267 0.0820
V2 0.0848 0.0275 0.5801
V3 0.2416 0.5160 0.2481
O1 0.0000 0.6380 0.0000
O2 0.1632 0.4058 0.1608
F1 0.0000 0.9115 0.5000
F2 0.0617 0.1929 0.8838
F3 0.0626 0.3232 0.3781
F4 0.1026 0.7298 0.7888
F5 0.1053 0.8589 0.2755
F6 0.1672 0.1316 0.6936
F7 0.2289 0.7255 0.5404
F8 0.2294 0.8423 0.0499
```

Most intense lines, 15° ≤ 2θ ≤ 90°, in order of rising 2θ:
23.26°, intensity 100, hkl 1 1 -1; 24.03°, intensity 48, hkl 6 0 0; 32.70°, intensity 24, hkl 5 1 1; 39.32°, intensity 16, hkl 5 1 -2; 47.55°, intensity 21, hkl 2 2 -2; 52.08°, intensity 17, hkl 3 1 -3

***

[2]
# Li2VOF5
Calculated powder diffractogram, λ = 1.5418 Å (Cu Kα). Input: a DFT-relaxed cell (PBE+U, Alexandria).

Crystal structure
```
data_Li2VOF5
_space_group_name_H-M_alt 'I m m 2'
_space_group_IT_number 44
_space_group_name_Hall 'I 2 -2'
_cell_length_a 6.0444
_cell_length_b 6.3806
_cell_length_c 6.3896
_cell_angle_alpha 90.00
_cell_angle_beta 90.00
_cell_angle_gamma 90.00
loop_
_atom_site_label
_atom_site_fract_x
_atom_site_fract_y
_atom_site_fract_z
Li1 0.2491 0.0000 0.0000
V1 0.0000 0.0000 0.5026
O1 0.0000 0.0000 0.7608
F1 0.0000 0.0000 0.1772
F2 0.0000 0.2990 0.4757
F3 0.2066 0.5000 0.9554
```

Most intense lines, 15° ≤ 2θ ≤ 90°, in order of rising 2θ:
19.66°, intensity 38, hkl 0 1 1; 20.23°, intensity 100, hkl 1 0 1; 27.95°, intensity 53, hkl 0 2 0; 44.90°, intensity 20, hkl 0 3 1; 45.17°, intensity 25, hkl 1 3 0; 47.31°, intensity 21, hkl 3 0 1

***

[3]
# Li2V2OF6
Calculated powder diffractogram, λ = 1.5418 Å (Cu Kα). Input: a DFT-relaxed cell (PBE+U, Alexandria).

Crystal structure
```
data_Li2V2OF6
_space_group_name_H-M_alt 'P 1'
_space_group_IT_number 1
_space_group_name_Hall 'P 1'
_cell_length_a 5.3388
_cell_length_b 6.8329
_cell_length_c 8.5647
_cell_angle_alpha 70.85
_cell_angle_beta 76.45
_cell_angle_gamma 84.52
loop_
_atom_site_label
_atom_site_fract_x
_atom_site_fract_y
_atom_site_fract_z
Li1 0.0000 0.0000 0.0000
Li2 0.1878 0.7297 0.6767
Li3 0.4619 0.7647 0.1737
Li4 0.6694 0.5023 0.8272
V1 0.0439 0.4584 0.1218
V2 0.1411 0.2689 0.5884
V3 0.4986 0.2300 0.2548
V4 0.5929 0.0313 0.7410
O1 0.1579 0.3238 0.3331
O2 0.2542 0.1294 0.7945
F1 0.1528 0.7314 0.1037
F2 0.2207 0.5497 0.5501
F3 0.4115 0.3663 0.0225
F4 0.4399 0.9486 0.2933
F5 0.5099 0.7595 0.7356
F6 0.5258 0.1666 0.4990
F7 0.6622 0.5063 0.2195
F8 0.6800 0.9273 0.9688
F9 0.7655 0.3090 0.7025
F10 0.8837 0.1904 0.1398
F11 0.9696 0.5605 0.8917
F12 0.9770 0.9853 0.6285
```

Most intense lines, 15° ≤ 2θ ≤ 90°, in order of rising 2θ:
21.76°, intensity 67, hkl 1 1 0; 22.51°, intensity 89, hkl 0 0 2; 25.22°, intensity 100, hkl 1 0 2; 40.30°, intensity 94, hkl -2 1 1; 42.19°, intensity 91, hkl 1 3 1; 45.47°, intensity 92, hkl 1 0 4

***

[4]
# LiVOF3
Calculated powder diffractogram, λ = 1.5418 Å (Cu Kα). Input: a DFT-relaxed cell (PBE+U, Alexandria).

Crystal structure
```
data_LiVOF3
_space_group_name_H-M_alt 'P n c 2'
_space_group_IT_number 30
_space_group_name_Hall 'P 2 -2bc'
_cell_length_a 4.9853
_cell_length_b 5.1945
_cell_length_c 11.5435
_cell_angle_alpha 90.00
_cell_angle_beta 90.00
_cell_angle_gamma 90.00
loop_
_atom_site_label
_atom_site_fract_x
_atom_site_fract_y
_atom_site_fract_z
Li1 0.0000 0.0000 0.0000
Li2 0.0000 0.0000 0.4106
V1 0.0000 0.0000 0.6856
V2 0.5000 0.0000 0.8210
O1 0.1965 0.1962 0.7911
F1 0.1418 0.1981 0.5567
F2 0.3069 0.7007 0.4295
F3 0.3139 0.7189 0.1952
```

Most intense lines, 15° ≤ 2θ ≤ 90°, in order of rising 2θ:
15.35°, intensity 24, hkl 0 0 2; 18.73°, intensity 100, hkl 0 1 1; 23.58°, intensity 29, hkl 1 0 2; 34.12°, intensity 25, hkl 1 1 3; 40.08°, intensity 39, hkl 1 1 4; 50.73°, intensity 35, hkl 2 2 0

***

[5]
# LiV2OF5
Calculated powder diffractogram, λ = 1.5418 Å (Cu Kα). Input: a DFT-relaxed cell (PBE+U, Alexandria).

Crystal structure
```
data_LiV2OF5
_space_group_name_H-M_alt 'P 31'
_space_group_IT_number 144
_space_group_name_Hall 'P 31'
_cell_length_a 5.2607
_cell_length_b 5.2607
_cell_length_c 13.7568
_cell_angle_alpha 90.00
_cell_angle_beta 90.00
_cell_angle_gamma 120.00
loop_
_atom_site_label
_atom_site_fract_x
_atom_site_fract_y
_atom_site_fract_z
Li1 0.0467 0.0079 0.0000
V1 0.3174 0.6561 0.4873
V2 0.6559 0.3169 0.1544
O1 0.0000 0.3581 0.4186
F1 0.0001 0.3445 0.0798
F2 0.9999 0.6662 0.5709
F3 0.0008 0.6382 0.2334
F4 0.3472 0.0011 0.4131
F5 0.3591 0.3585 0.2348
```

Most intense lines, 15° ≤ 2θ ≤ 90°, in order of rising 2θ:
19.36°, intensity 79, hkl 0 0 3; 19.48°, intensity 52, hkl 1 0 0; 27.60°, intensity 50, hkl 0 1 3; 39.50°, intensity 100, hkl 1 1 3; 52.98°, intensity 55, hkl 1 1 6; 61.01°, intensity 28, hkl 3 0 0

***

[6]
# LiV2OF7
Calculated powder diffractogram, λ = 1.5418 Å (Cu Kα). Input: a DFT-relaxed cell (PBE+U, Alexandria).

Crystal structure
```
data_LiV2OF7
_space_group_name_H-M_alt 'C 1 m 1'
_space_group_IT_number 8
_space_group_name_Hall 'C -2y'
_cell_length_a 9.7101
_cell_length_b 6.0469
_cell_length_c 6.4928
_cell_angle_alpha 90.00
_cell_angle_beta 131.89
_cell_angle_gamma 90.00
loop_
_atom_site_label
_atom_site_fract_x
_atom_site_fract_y
_atom_site_fract_z
Li1 0.0000 0.0000 0.0000
V1 0.4420 0.2429 0.4421
O1 0.2826 0.0000 0.2835
F1 0.1204 0.0000 0.6193
F2 0.1268 0.5000 0.6257
F3 0.2707 0.5000 0.2720
F4 0.4549 0.2669 0.1762
F5 0.4572 0.2667 0.7360
```

Most intense lines, 15° ≤ 2θ ≤ 90°, in order of rising 2θ:
18.37°, intensity 100, hkl 2 0 -1; 24.63°, intensity 34, hkl 2 0 0; 27.47°, intensity 15, hkl 2 0 -2; 38.83°, intensity 45, hkl 2 2 0; 43.66°, intensity 19, hkl 2 0 -3; 50.44°, intensity 27, hkl 4 2 -1

***

[7]
# Li2V4OF12
Calculated powder diffractogram, λ = 1.5418 Å (Cu Kα). Input: a DFT-relaxed cell (PBE+U, Alexandria).

Crystal structure
```
data_Li2V4OF12
_space_group_name_H-M_alt 'P 1'
_space_group_IT_number 1
_space_group_name_Hall 'P 1'
_cell_length_a 3.9557
_cell_length_b 8.3350
_cell_length_c 8.6434
_cell_angle_alpha 79.63
_cell_angle_beta 87.72
_cell_angle_gamma 77.50
loop_
_atom_site_label
_atom_site_fract_x
_atom_site_fract_y
_atom_site_fract_z
Li1 0.0000 0.0000 0.0000
Li2 0.0699 0.8789 0.5379
V1 0.0875 0.2803 0.6279
V2 0.1226 0.2446 0.2781
V3 0.9066 0.6289 0.2792
V4 0.9463 0.6293 0.8948
O1 0.0300 0.4140 0.4125
F1 0.0069 0.4742 0.7472
F2 0.0134 0.4633 0.1025
F3 0.1294 0.1225 0.8200
F4 0.1778 0.0897 0.4922
F5 0.2033 0.0677 0.1568
F6 0.4070 0.6424 0.2653
F7 0.4525 0.6213 0.9044
F8 0.5858 0.2781 0.6293
F9 0.6222 0.2432 0.2646
F10 0.8150 0.7859 0.4183
F11 0.8804 0.7836 0.0615
F12 0.9077 0.8223 0.7397
```

Most intense lines, 15° ≤ 2θ ≤ 90°, in order of rising 2θ:
22.19°, intensity 49, hkl 0 2 0; 23.03°, intensity 100, hkl 1 0 0; 23.34°, intensity 58, hkl 1 1 0; 25.38°, intensity 42, hkl 0 1 -2; 27.77°, intensity 49, hkl 0 2 2; 42.20°, intensity 79, hkl 0 3 3

***

[8]
# Li2V2O5F2
Calculated powder diffractogram, λ = 1.5418 Å (Cu Kα). Input: a DFT-relaxed cell (PBE+U, Alexandria).

Crystal structure
```
data_Li2V2O5F2
_space_group_name_H-M_alt 'P -1'
_space_group_IT_number 2
_space_group_name_Hall '-P 1'
_cell_length_a 5.6595
_cell_length_b 6.0864
_cell_length_c 10.0620
_cell_angle_alpha 74.76
_cell_angle_beta 86.28
_cell_angle_gamma 66.42
loop_
_atom_site_label
_atom_site_fract_x
_atom_site_fract_y
_atom_site_fract_z
Li1 0.0783 0.1886 0.1024
Li2 0.1108 0.7335 0.5873
V1 0.4040 0.2444 0.4093
V2 0.4843 0.3929 0.8934
O1 0.2549 0.4519 0.4947
O2 0.2724 0.2667 0.9330
O3 0.2939 0.9764 0.4948
O4 0.2985 0.6806 0.9611
O5 0.4208 0.6131 0.7186
F1 0.1484 0.3029 0.2702
F2 0.2498 0.8464 0.1775
```

Most intense lines, 15° ≤ 2θ ≤ 90°, in order of rising 2θ:
16.62°, intensity 35, hkl 0 1 1; 17.11°, intensity 100, hkl 1 0 0; 21.24°, intensity 61, hkl 0 1 2; 22.12°, intensity 40, hkl 1 1 -1; 23.46°, intensity 45, hkl 1 1 2; 27.76°, intensity 35, hkl 0 1 -2

***

[9]
# Li3V4O3F9
Calculated powder diffractogram, λ = 1.5418 Å (Cu Kα). Input: a DFT-relaxed cell (PBE+U, Alexandria).

Crystal structure
```
data_Li3V4O3F9
_space_group_name_H-M_alt 'P 1'
_space_group_IT_number 1
_space_group_name_Hall 'P 1'
_cell_length_a 5.1514
_cell_length_b 5.5435
_cell_length_c 9.0399
_cell_angle_alpha 106.55
_cell_angle_beta 90.82
_cell_angle_gamma 117.44
loop_
_atom_site_label
_atom_site_fract_x
_atom_site_fract_y
_atom_site_fract_z
Li1 0.0000 0.0000 0.0000
Li2 0.2107 0.4847 0.7576
Li3 0.4466 0.9402 0.4930
V1 0.2898 0.6021 0.1083
V2 0.5794 0.1131 0.8557
V3 0.7574 0.6153 0.6086
V4 0.9851 0.0720 0.3472
O1 0.5623 0.8323 0.6634
O2 0.5777 0.8388 0.2964
O3 0.9888 0.3434 0.9195
F1 0.0272 0.8392 0.4803
F2 0.0278 0.3253 0.2239
F3 0.0789 0.8427 0.1537
F4 0.0976 0.8366 0.7992
F5 0.4311 0.3070 0.4281
F6 0.4458 0.3135 0.0379
F7 0.5173 0.3482 0.7272
F8 0.5584 0.8323 0.9721
F9 0.9345 0.3357 0.5518
```

Most intense lines, 15° ≤ 2θ ≤ 90°, in order of rising 2θ:
23.21°, intensity 100, hkl 0 1 -2; 23.65°, intensity 97, hkl -1 1 1; 23.86°, intensity 98, hkl 1 0 1; 32.45°, intensity 29, hkl 1 -2 1; 32.82°, intensity 30, hkl 0 1 2; 53.09°, intensity 32, hkl 2 1 0

***

[10]
# Li2VO2F2
Calculated powder diffractogram, λ = 1.5418 Å (Cu Kα). Input: a DFT-relaxed cell (PBE+U, Alexandria).

Crystal structure
```
data_Li2VO2F2
_space_group_name_H-M_alt 'C 1 2/c 1'
_space_group_IT_number 15
_space_group_name_Hall '-C 2yc'
_cell_length_a 10.4492
_cell_length_b 5.7658
_cell_length_c 10.4547
_cell_angle_alpha 90.00
_cell_angle_beta 111.14
_cell_angle_gamma 90.00
loop_
_atom_site_label
_atom_site_fract_x
_atom_site_fract_y
_atom_site_fract_z
Li1 0.0000 0.2444 0.2500
Li2 0.1893 0.2539 0.8108
Li3 0.2500 0.2500 0.5000
V1 0.0000 0.0000 0.0000
V2 0.0000 0.5000 0.0000
O1 0.1060 0.2333 0.1102
O2 0.1099 0.2662 0.6061
F1 0.1155 0.4885 0.3820
F2 0.1182 0.0064 0.3846
```

Most intense lines, 15° ≤ 2θ ≤ 90°, in order of rising 2θ:
18.20°, intensity 100, hkl 2 0 0; 20.61°, intensity 18, hkl 2 0 -2; 36.20°, intensity 25, hkl 0 2 2; 41.92°, intensity 21, hkl 4 0 -4; 43.88°, intensity 36, hkl 2 2 2; 62.29°, intensity 23, hkl 6 2 -2